The following is a computed PXRD pattern of La6Sb5N. It was derived from a cell relaxed with GGA-PBE, using Cu Kα X-rays.
Intensities are scaled so that the largest is 100.

Atomic structure:
a = 7.8299 Å, b = 13.3935 Å, c = 7.7782 Å
α = 90.00°, β = 109.84°, γ = 90.00°
Space group C2/m (No. 12)
Asymmetric unit:
La: 0.2207 0.1483 0.2235 (multiplicity 8)
La: 0.2283 0.0000 0.7562 (multiplicity 4)
Sb: 0.0000 0.1788 0.5000 (multiplicity 4)
Sb: 0.0000 0.3358 0.0000 (multiplicity 4)
Sb: 0.0000 0.5000 0.5000 (multiplicity 2)
N: 0.0000 0.0000 0.0000 (multiplicity 2)

Largest 8 diffraction maxima, in order of rising 2θ, 2θ from 10° to 90°:
2θ = 27.9°, intensity 55.4, hkl 2 0 -2; 2θ = 28.2°, intensity 100.0, hkl 1 3 1; 2θ = 40.0°, intensity 37.0, hkl 3 3 -1; 2θ = 40.2°, intensity 55.6, hkl 1 3 -3; 2θ = 40.4°, intensity 16.7, hkl 0 6 0; 2θ = 49.8°, intensity 18.3, hkl 2 6 -2; 2θ = 49.9°, intensity 9.5, hkl 0 0 4; 2θ = 58.3°, intensity 9.5, hkl 2 6 2